Structure and calculated XRD peak list of PmSm2Ga4 (a crystal structure in Alexandria, relaxed with GGA-PBE; λ = 1.5418 Å (Cu Kα)).

Peak list (8 most intense, 2θ from 10° to 90°, sorted by position)
2theta  I_rel
25.6  22
31.1  100
31.6  53
35.4  25
40.1  28
41.4  27
43.1  24
54.4  23

Structural model:
Unit cell a=9.785 b=9.785 c=9.785 alpha=155.22 beta=154.26 gamma=36.03
Fractional positions:
Pm  0.000  0.000  0.000
Sm  0.184  0.684  0.500
Sm  0.816  0.316  0.500
Ga  0.356  0.856  0.500
Ga  0.434  0.434  0.000
Ga  0.566  0.566  0.000
Ga  0.644  0.144  0.500